# Li3Mn2P2C2O14
Calculated powder X-ray diffraction pattern, Cu Kα. Input: a DFT-relaxed cell (GGA+U, the Materials Project).
Neutral-atom scattering factors, no anomalous dispersion.

Top 10 peaks for 5 to 70 degrees two-theta, low angle first:
- 10.71 deg, rel. 100, hkl 0 0 1
- 17.31 deg, rel. 23, hkl -1 1 1
- 17.43 deg, rel. 23, hkl 1 -1 1
- 19.90 deg, rel. 41, hkl 1 1 -1
- 21.36 deg, rel. 56, hkl 1 1 1
- 25.54 deg, rel. 17, hkl 2 0 1
- 26.81 deg, rel. 38, hkl 1 1 -2
- 27.47 deg, rel. 94, hkl 2 -2 0
- 36.45 deg, rel. 20, hkl 2 2 -1
- 56.72 deg, rel. 17, hkl 4 -4 0

```
Li3Mn2P2C2O14
1.0
8.2020 0.0000 0.0000
-2.0235 8.0063 0.0000
-0.4428 -0.4778 8.2604
Li Mn P C O
6 4 4 4 28
Cartesian
0.0000 0.0000 0.0000
-1.1717 3.7890 4.3908
0.2457 6.1583 0.0307
1.7554 7.6798 4.3949
2.6965 3.3472 8.2082
6.5920 0.8354 2.9724
-1.3552 6.6582 4.8823
-0.2018 2.8067 7.7384
3.7744 2.6447 4.9354
2.9163 6.8511 7.6984
2.2638 0.5513 6.9830
1.4411 4.8397 5.6788
5.2892 4.6449 6.9626
6.5131 0.9169 5.6498
-0.1513 2.7831 1.7912
-0.8799 7.0437 2.5452
2.9442 6.8413 1.8113
4.1693 3.1269 2.5969
-1.7097 6.1305 2.9707
-0.5035 1.9816 0.7974
-0.8938 2.2023 6.0057
-0.5382 2.5681 2.9635
-0.6911 7.3175 1.3327
-0.7863 7.3957 6.7043
0.5743 3.7911 1.3852
0.2371 5.2100 4.8222
-0.2938 7.6872 3.5331
1.6071 1.6796 7.7684
1.0060 4.2848 7.0720
2.8118 1.0412 5.6191
2.2420 3.8087 4.8617
3.4055 0.0006 7.8794
2.4737 6.1536 0.7772
3.4054 2.1476 3.0328
2.2722 6.1462 5.9913
2.6141 6.6412 2.9862
4.3151 3.4591 1.4161
4.2976 3.4641 6.6770
3.7803 7.7798 1.4177
5.2773 1.3188 4.7730
4.7724 3.7276 3.6152
4.5479 5.7582 7.7758
6.1309 0.2223 6.9766
5.7945 5.1599 5.6000
7.2903 0.0157 4.6953
6.4636 4.2519 7.8596
```